For K3CoPCO7, a PBE+U-relaxed structure gives the theoretical powder XRD pattern in this record (Cu Kα (λ = 1.5418 Å)).

Most intense lines, 10 to 90 degrees two-theta, in order of rising 2θ:
2θ (°), d (Å), I_rel, index
18.22, 4.870, 15, 1 0 1
25.49, 3.495, 26, 0 2 0
28.10, 3.175, 14, 0 0 3
31.41, 2.848, 41, 1 -2 1
31.59, 2.833, 100, 2 0 0
31.95, 2.801, 19, 0 2 2
32.32, 2.770, 29, 1 0 3
42.77, 2.114, 37, 2 0 3
52.36, 1.747, 15, 0 4 0
56.72, 1.623, 9, 3 0 -3
62.55, 1.485, 10, 2 4 0
65.93, 1.417, 8, 4 0 0

Cell and atoms:
```
data_K3CoPCO7
_chemical_formula_sum 'K6 Co2 P2 C2 O14'
_cell_length_a 5.667
_cell_length_b 6.990
_cell_length_c 9.526
_cell_angle_alpha 90.70
_cell_angle_beta 90.02
_cell_angle_gamma 90.15
_symmetry_space_group_name_H-M 'P 1'
_symmetry_Int_Tables_number 1
loop_
_symmetry_equiv_pos_as_xyz
'x,y,z'
loop_
_atom_site_label
_atom_site_type_symbol
_atom_site_fract_x
_atom_site_fract_y
_atom_site_fract_z
K1 K 0.000 0.000 0.000
K2 K 0.001 0.724 0.363
K3 K 0.003 0.244 0.368
K4 K 0.497 0.748 0.778
K5 K 0.502 0.229 0.768
K6 K 0.502 0.472 0.139
Co1 Co 0.502 0.976 0.419
Co2 Co 0.999 0.492 0.721
P1 P 0.003 0.988 0.650
P2 P 0.499 0.487 0.488
C1 C 0.002 0.486 0.988
C2 C 0.500 0.988 0.150
O1 O 0.000 0.172 0.744
O2 O 0.002 0.476 0.123
O3 O 0.198 0.497 0.915
O4 O 0.232 0.985 0.560
O5 O 0.270 0.488 0.578
O6 O 0.304 0.985 0.223
O7 O 0.499 0.998 0.015
O8 O 0.500 0.666 0.391
O9 O 0.506 0.304 0.394
O10 O 0.697 0.982 0.222
O11 O 0.718 0.494 0.586
O12 O 0.783 0.985 0.553
O13 O 0.805 0.484 0.916
O14 O 0.999 0.810 0.747
```